Theoretical powder X-ray diffraction pattern
Compound: Fe3Co3Sb2O16
Radiation: a wavelength of 1.5418 Å
Structure: DFT lattice parameters and positions (PBE+U)

Peak list (12 most intense, 10 to 90 degrees two-theta, low angle first)
- 19.2 deg, I = 38.0
- 19.6 deg, I = 49.6
- 19.8 deg, I = 100.0
- 20.1 deg, I = 89.9
- 20.2 deg, I = 42.9
- 25.8 deg, I = 31.9
- 35.7 deg, I = 42.1
- 36.3 deg, I = 60.8
- 36.5 deg, I = 32.3
- 36.8 deg, I = 45.3
- 36.9 deg, I = 42.1
- 63.3 deg, I = 43.7

Cell and atoms:
Unit cell a=5.876 b=5.876 c=9.269 alpha=91.89 beta=91.89 gamma=59.77
Fractional coordinates of all 24 atoms:
Fe 0.000 0.000 0.000
Fe 0.338 0.834 0.496
Fe 0.834 0.338 0.496
Co 0.338 0.338 0.505
Co 0.507 0.997 0.001
Co 0.997 0.507 0.001
Sb 0.497 0.497 0.779
Sb 0.831 0.831 0.276
O 0.000 0.000 0.385
O 0.002 0.498 0.386
O 0.128 0.668 0.127
O 0.177 0.177 0.094
O 0.178 0.178 0.593
O 0.198 0.634 0.626
O 0.327 0.327 0.894
O 0.329 0.839 0.887
O 0.487 0.487 0.395
O 0.498 0.002 0.386
O 0.634 0.198 0.626
O 0.645 0.645 0.632
O 0.668 0.128 0.127
O 0.683 0.683 0.112
O 0.822 0.822 0.898
O 0.839 0.329 0.887

Theoretical powder X-ray diffraction pattern
Compound: Sr5Fe4CoO10
Radiation: a wavelength of 1.5418 Å
Structure: DFT lattice parameters and positions (PBE+U)

Peak list (12 most intense, 10 to 90 degrees two-theta, low angle first)
- 31.3 deg, I = 36.7
- 33.9 deg, I = 100.0
- 40.7 deg, I = 10.0
- 44.8 deg, I = 32.6
- 52.3 deg, I = 9.9
- 57.3 deg, I = 42.5
- 62.2 deg, I = 10.8
- 65.2 deg, I = 9.6
- 71.3 deg, I = 14.5
- 74.1 deg, I = 6.6
- 75.6 deg, I = 9.9
- 88.3 deg, I = 8.1

Cell and atoms:
Unit cell a=4.045 b=4.045 c=17.494 alpha=90.00 beta=90.00 gamma=90.00
Fractional coordinates of all 20 atoms:
Sr 0.000 0.000 0.000
Sr 0.000 0.000 0.201
Sr 0.000 0.000 0.402
Sr 0.000 0.000 0.598
Sr 0.000 0.000 0.799
Fe 0.500 0.500 0.100
Fe 0.500 0.500 0.301
Fe 0.500 0.500 0.699
Fe 0.500 0.500 0.900
Co 0.500 0.500 0.500
O 0.000 0.500 0.100
O 0.000 0.500 0.299
O 0.000 0.500 0.500
O 0.000 0.500 0.701
O 0.000 0.500 0.900
O 0.500 0.000 0.100
O 0.500 0.000 0.299
O 0.500 0.000 0.500
O 0.500 0.000 0.701
O 0.500 0.000 0.900

Theoretical powder X-ray diffraction pattern
Compound: Sr8Fe4Co4O23
Radiation: a wavelength of 1.5418 Å
Structure: DFT lattice parameters and positions (PBE+U)

Peak list (12 most intense, 10 to 90 degrees two-theta, low angle first)
- 32.4 deg, I = 47.0
- 32.5 deg, I = 100.0
- 40.0 deg, I = 16.1
- 46.4 deg, I = 36.2
- 46.8 deg, I = 17.3
- 57.8 deg, I = 37.2
- 58.1 deg, I = 18.3
- 67.8 deg, I = 10.2
- 68.1 deg, I = 19.8
- 77.1 deg, I = 15.4
- 77.8 deg, I = 7.8
- 86.4 deg, I = 9.7

Cell and atoms:
Unit cell a=8.732 b=8.732 c=8.732 alpha=101.39 beta=101.39 gamma=127.24
Fractional coordinates of all 39 atoms:
Sr 0.000 0.254 0.254
Sr 0.000 0.746 0.746
Sr 0.242 0.500 0.742
Sr 0.254 0.000 0.254
Sr 0.500 0.242 0.742
Sr 0.500 0.758 0.258
Sr 0.746 0.000 0.746
Sr 0.758 0.500 0.258
Fe 0.000 0.000 0.500
Fe 0.000 0.500 0.000
Fe 0.500 0.000 0.000
Fe 0.500 0.500 0.500
Co 0.241 0.241 0.000
Co 0.250 0.750 0.500
Co 0.750 0.250 0.500
Co 0.759 0.759 0.000
O 0.000 0.000 0.000
O 0.000 0.500 0.500
O 0.126 0.626 0.253
O 0.126 0.874 0.500
O 0.160 0.160 0.765
O 0.160 0.395 0.000
O 0.238 0.238 0.476
O 0.238 0.762 0.000
O 0.374 0.626 0.500
O 0.374 0.874 0.747
O 0.395 0.160 0.000
O 0.395 0.395 0.235
O 0.500 0.000 0.500
O 0.605 0.605 0.765
O 0.605 0.840 0.000
O 0.626 0.126 0.253
O 0.626 0.374 0.500
O 0.762 0.238 0.000
O 0.762 0.762 0.524
O 0.840 0.605 0.000
O 0.840 0.840 0.235
O 0.874 0.126 0.500
O 0.874 0.374 0.747

Theoretical powder X-ray diffraction pattern
Compound: Ta4FeCoO12
Radiation: a wavelength of 1.5418 Å
Structure: DFT lattice parameters and positions (PBE+U)

Peak list (12 most intense, 10 to 90 degrees two-theta, low angle first)
- 19.2 deg, I = 10.4
- 20.8 deg, I = 25.3
- 26.2 deg, I = 100.0
- 32.7 deg, I = 9.8
- 34.6 deg, I = 79.1
- 37.3 deg, I = 24.7
- 51.8 deg, I = 64.5
- 53.8 deg, I = 8.4
- 53.9 deg, I = 8.3
- 60.8 deg, I = 8.2
- 65.6 deg, I = 18.7
- 66.7 deg, I = 17.6

Cell and atoms:
Unit cell a=4.817 b=4.817 c=9.240 alpha=90.00 beta=90.00 gamma=90.15
Fractional coordinates of all 18 atoms:
Ta 0.000 0.000 0.168
Ta 0.000 0.000 0.832
Ta 0.500 0.500 0.330
Ta 0.500 0.500 0.670
Fe 0.000 0.000 0.500
Co 0.500 0.500 0.000
O 0.188 0.812 0.000
O 0.207 0.793 0.319
O 0.207 0.793 0.681
O 0.295 0.295 0.177
O 0.295 0.295 0.823
O 0.312 0.312 0.500
O 0.688 0.688 0.500
O 0.705 0.705 0.177
O 0.705 0.705 0.823
O 0.793 0.207 0.319
O 0.793 0.207 0.681
O 0.812 0.188 0.000

Theoretical powder X-ray diffraction pattern
Compound: Fe3Co3Te2O16
Radiation: a wavelength of 1.5418 Å
Structure: DFT lattice parameters and positions (PBE+U)

Peak list (12 most intense, 10 to 90 degrees two-theta, low angle first)
- 19.3 deg, I = 14.2
- 20.4 deg, I = 100.0
- 26.5 deg, I = 19.1
- 34.4 deg, I = 18.9
- 34.4 deg, I = 18.5
- 37.1 deg, I = 15.3
- 37.2 deg, I = 30.3
- 37.8 deg, I = 21.6
- 41.6 deg, I = 12.1
- 47.3 deg, I = 22.1
- 63.0 deg, I = 12.8
- 65.6 deg, I = 14.3

Cell and atoms:
Unit cell a=5.696 b=5.696 c=9.215 alpha=90.17 beta=90.17 gamma=59.78
Fractional coordinates of all 24 atoms:
Fe 0.000 0.000 0.000
Fe 0.341 0.829 0.500
Fe 0.829 0.341 0.500
Co 0.000 0.511 0.996
Co 0.340 0.340 0.496
Co 0.511 0.000 0.996
Te 0.500 0.500 0.778
Te 0.835 0.835 0.274
O 0.009 0.491 0.380
O 0.011 0.011 0.382
O 0.142 0.685 0.114
O 0.169 0.169 0.088
O 0.172 0.172 0.590
O 0.203 0.658 0.614
O 0.326 0.326 0.877
O 0.330 0.847 0.880
O 0.491 0.009 0.380
O 0.505 0.505 0.395
O 0.654 0.654 0.621
O 0.658 0.203 0.614
O 0.685 0.142 0.114
O 0.687 0.687 0.112
O 0.840 0.840 0.893
O 0.847 0.330 0.880

Theoretical powder X-ray diffraction pattern
Compound: Fe3Co3Te2O16
Radiation: a wavelength of 1.5418 Å
Structure: DFT lattice parameters and positions (PBE+U)

Peak list (12 most intense, 10 to 90 degrees two-theta, low angle first)
- 19.3 deg, I = 33.8
- 19.5 deg, I = 100.0
- 19.6 deg, I = 56.3
- 19.8 deg, I = 54.2
- 20.0 deg, I = 46.6
- 20.1 deg, I = 47.4
- 25.6 deg, I = 39.3
- 35.6 deg, I = 42.5
- 36.0 deg, I = 56.4
- 36.4 deg, I = 36.7
- 36.7 deg, I = 36.6
- 62.7 deg, I = 43.7

Cell and atoms:
Unit cell a=5.931 b=5.936 c=9.206 alpha=88.67 beta=87.95 gamma=60.57
Fractional coordinates of all 24 atoms:
Fe 0.000 0.000 0.000
Fe 0.172 0.653 0.502
Fe 0.506 0.494 0.000
Co 0.179 0.160 0.503
Co 0.509 0.999 0.992
Co 0.682 0.654 0.492
Te 0.669 0.156 0.719
Te 0.994 0.494 0.220
O 0.157 0.657 0.111
O 0.158 0.173 0.112
O 0.281 0.346 0.359
O 0.348 0.838 0.908
O 0.361 0.816 0.412
O 0.374 0.287 0.867
O 0.506 0.480 0.611
O 0.514 0.992 0.606
O 0.653 0.150 0.099
O 0.678 0.659 0.108
O 0.797 0.865 0.867
O 0.811 0.300 0.855
O 0.830 0.365 0.368
O 0.841 0.785 0.366
O 0.977 0.499 0.601
O 0.991 0.996 0.608

Repeat the sixth record exactly.
Theoretical powder X-ray diffraction pattern
Compound: Fe3Co3Te2O16
Radiation: a wavelength of 1.5418 Å
Structure: DFT lattice parameters and positions (PBE+U)

Peak list (12 most intense, 10 to 90 degrees two-theta, low angle first)
- 19.3 deg, I = 33.8
- 19.5 deg, I = 100.0
- 19.6 deg, I = 56.3
- 19.8 deg, I = 54.2
- 20.0 deg, I = 46.6
- 20.1 deg, I = 47.4
- 25.6 deg, I = 39.3
- 35.6 deg, I = 42.5
- 36.0 deg, I = 56.4
- 36.4 deg, I = 36.7
- 36.7 deg, I = 36.6
- 62.7 deg, I = 43.7

Cell and atoms:
Unit cell a=5.931 b=5.936 c=9.206 alpha=88.67 beta=87.95 gamma=60.57
Fractional coordinates of all 24 atoms:
Fe 0.000 0.000 0.000
Fe 0.172 0.653 0.502
Fe 0.506 0.494 0.000
Co 0.179 0.160 0.503
Co 0.509 0.999 0.992
Co 0.682 0.654 0.492
Te 0.669 0.156 0.719
Te 0.994 0.494 0.220
O 0.157 0.657 0.111
O 0.158 0.173 0.112
O 0.281 0.346 0.359
O 0.348 0.838 0.908
O 0.361 0.816 0.412
O 0.374 0.287 0.867
O 0.506 0.480 0.611
O 0.514 0.992 0.606
O 0.653 0.150 0.099
O 0.678 0.659 0.108
O 0.797 0.865 0.867
O 0.811 0.300 0.855
O 0.830 0.365 0.368
O 0.841 0.785 0.366
O 0.977 0.499 0.601
O 0.991 0.996 0.608

- What is the formula in the sixth record?
  Fe3Co3Te2O16